1.
Structure and theoretical powder XRD pattern of Tb10CeNd6 (a DFT-relaxed cell (GGA-PBE, Alexandria); a wavelength of 1.5418 Å).

Structure:
```
Tb10CeNd6
1.0
6.924 0.000 0.000
0.009 9.756 0.000
0.003 4.875 8.455
Tb Ce Nd
10 1 6
direct
0.002 0.166 0.167
0.183 0.768 0.506
0.184 0.227 0.768
0.185 0.505 0.226
0.481 0.833 0.834
0.519 0.167 0.166
0.815 0.495 0.774
0.816 0.773 0.232
0.817 0.232 0.494
0.998 0.834 0.833
0.500 0.500 0.500
0.299 0.488 0.885
0.300 0.127 0.488
0.300 0.885 0.127
0.700 0.115 0.873
0.700 0.873 0.512
0.701 0.512 0.115
```

Top 10 peaks for 10 to 80 degrees two-theta, sorted by position:
two_theta, d [Å], I/Imax
30.82, 2.901, 31
31.72, 2.821, 100
40.63, 2.220, 7
45.48, 1.994, 14
48.77, 1.867, 8
55.91, 1.645, 6
56.40, 1.631, 9
56.55, 1.628, 11
59.31, 1.558, 7
62.66, 1.483, 5

---

2.
Structure and theoretical powder XRD pattern of Tb3CeNd8 (a DFT-relaxed cell (GGA-PBE, Alexandria); a wavelength of 1.5418 Å).

Structure:
```
Tb3CeNd8
1.0
-4.377 4.377 5.775
4.377 -4.377 5.775
4.377 4.377 -5.775
Tb Ce Nd
3 1 8
direct
0.000 0.000 0.000
0.250 0.750 0.500
0.750 0.250 0.500
0.500 0.500 0.000
0.136 0.380 0.000
0.244 0.244 0.524
0.280 0.756 0.000
0.380 0.136 0.000
0.620 0.620 0.757
0.720 0.720 0.476
0.756 0.280 0.000
0.864 0.864 0.243
```

Top 10 peaks for 10 to 80 degrees two-theta, sorted by position:
two_theta, d [Å], I/Imax
24.00, 3.708, 56
25.53, 3.488, 55
28.85, 3.095, 78
30.97, 2.888, 68
32.62, 2.745, 30
35.98, 2.496, 100
42.83, 2.111, 49
44.26, 2.047, 42
55.87, 1.646, 33
58.39, 1.581, 30

---

3.
Structure and theoretical powder XRD pattern of Tb5CeNd12 (a DFT-relaxed cell (GGA-PBE, Alexandria); a wavelength of 1.5418 Å).

Structure:
```
Tb5CeNd12
1.0
7.721 -7.732 0.000
7.721 7.732 0.000
0.000 0.000 5.155
Tb Ce Nd
5 1 12
direct
0.000 0.000 0.000
0.167 0.167 0.500
0.335 0.335 0.000
0.665 0.665 0.000
0.833 0.833 0.500
0.500 0.500 0.500
0.001 0.331 0.000
0.165 0.835 0.500
0.169 0.499 0.500
0.331 0.001 0.000
0.337 0.663 0.000
0.499 0.169 0.500
0.501 0.831 0.500
0.663 0.337 0.000
0.669 0.999 0.000
0.831 0.501 0.500
0.835 0.165 0.500
0.999 0.669 0.000
```

Top 7 peaks for 10 to 80 degrees two-theta, sorted by position:
two_theta, d [Å], I/Imax
30.04, 2.975, 100
34.82, 2.576, 51
50.07, 1.822, 36
59.50, 1.554, 43
62.44, 1.487, 12
73.48, 1.289, 4
73.61, 1.287, 2

---

4.
Structure and theoretical powder XRD pattern of Tb14CeNd (a DFT-relaxed cell (GGA-PBE, Alexandria); a wavelength of 1.5418 Å).

Structure:
```
Tb14CeNd
1.0
7.138 0.000 0.000
0.000 7.138 0.000
0.000 0.000 10.085
Tb Ce Nd
14 1 1
direct
0.000 0.000 0.000
0.000 0.500 0.000
0.000 0.500 0.500
0.248 0.248 0.249
0.248 0.248 0.751
0.248 0.752 0.249
0.248 0.752 0.751
0.500 0.000 0.000
0.500 0.000 0.500
0.500 0.500 0.000
0.752 0.248 0.249
0.752 0.248 0.751
0.752 0.752 0.249
0.752 0.752 0.751
0.000 0.000 0.500
0.500 0.500 0.500
```

Top 6 peaks for 10 to 80 degrees two-theta, sorted by position:
two_theta, d [Å], I/Imax
30.69, 2.913, 100
35.58, 2.523, 51
51.20, 1.784, 36
60.89, 1.521, 43
63.91, 1.457, 12
75.34, 1.261, 6

---

5.
Structure and theoretical powder XRD pattern of Tb7CeNd12 (a DFT-relaxed cell (GGA-PBE, Alexandria); a wavelength of 1.5418 Å).

Structure:
```
Tb7CeNd12
1.0
9.834 5.678 2.073
-9.834 5.678 2.073
0.000 -11.355 2.073
Tb Ce Nd
7 1 12
direct
0.000 0.000 0.000
0.138 0.380 0.380
0.380 0.138 0.380
0.380 0.380 0.138
0.620 0.620 0.862
0.620 0.862 0.620
0.862 0.620 0.620
0.500 0.500 0.500
0.000 0.412 0.588
0.000 0.588 0.412
0.075 0.075 0.429
0.075 0.429 0.075
0.412 0.000 0.588
0.412 0.588 0.000
0.429 0.075 0.075
0.571 0.925 0.925
0.588 0.000 0.412
0.588 0.412 0.000
0.925 0.571 0.925
0.925 0.925 0.571
```

Top 10 peaks for 10 to 80 degrees two-theta, sorted by position:
two_theta, d [Å], I/Imax
27.20, 3.278, 39
29.91, 2.988, 100
30.60, 2.921, 44
32.62, 2.745, 45
32.84, 2.727, 41
34.53, 2.598, 25
39.22, 2.297, 36
39.78, 2.266, 27
46.15, 1.967, 27
47.44, 1.916, 25

---

6.
Structure and theoretical powder XRD pattern of Tb2Ce2Nd7 (a DFT-relaxed cell (GGA-PBE, Alexandria); a wavelength of 1.5418 Å).

Structure:
```
Tb2Ce2Nd7
1.0
5.627 -5.892 0.000
5.627 5.892 0.000
-2.270 0.000 5.681
Tb Ce Nd
2 2 7
direct
0.224 0.224 0.079
0.776 0.776 0.921
0.217 0.783 0.000
0.783 0.217 0.000
0.000 0.000 0.500
0.070 0.583 0.319
0.411 0.411 0.697
0.417 0.930 0.681
0.583 0.070 0.319
0.589 0.589 0.303
0.930 0.417 0.681
```

Top 10 peaks for 10 to 80 degrees two-theta, sorted by position:
two_theta, d [Å], I/Imax
25.68, 3.469, 26
30.34, 2.946, 77
31.16, 2.870, 100
31.95, 2.801, 24
33.45, 2.679, 35
33.62, 2.666, 27
44.64, 2.030, 16
48.89, 1.863, 12
54.42, 1.686, 16
55.95, 1.644, 15

---

7.
Structure and theoretical powder XRD pattern of TbCeNd2Tm5 (a DFT-relaxed cell (GGA-PBE, Alexandria); a wavelength of 1.5418 Å).

Structure:
```
TbCeNd2Tm5
1.0
-4.281 4.281 7.731
4.281 -4.281 7.731
4.281 4.281 -7.731
Tb Ce Nd Tm
2 2 4 10
direct
0.250 0.250 0.000
0.750 0.750 0.000
0.250 0.750 0.500
0.750 0.250 0.500
0.120 0.620 0.739
0.380 0.120 0.500
0.620 0.880 0.500
0.880 0.380 0.261
0.000 0.000 0.000
0.066 0.153 0.500
0.153 0.653 0.087
0.347 0.434 0.500
0.434 0.934 0.087
0.500 0.500 0.000
0.566 0.066 0.913
0.653 0.566 0.500
0.847 0.347 0.913
0.934 0.847 0.500
```

Top 10 peaks for 10 to 80 degrees two-theta, sorted by position:
two_theta, d [Å], I/Imax
29.05, 3.074, 57
29.51, 3.027, 51
31.17, 2.869, 100
33.08, 2.708, 17
38.35, 2.347, 16
47.02, 1.933, 12
47.18, 1.926, 14
53.40, 1.716, 20
56.49, 1.629, 12
61.25, 1.513, 16

---

8.
Structure and theoretical powder XRD pattern of TbCeNd2Tm (a DFT-relaxed cell (GGA-PBE, Alexandria); a wavelength of 1.5418 Å).

Structure:
```
TbCeNd2Tm
1.0
6.715 0.000 0.000
0.000 8.159 0.000
-0.008 0.000 6.112
Tb Ce Nd Tm
2 2 4 2
direct
0.000 0.146 0.250
0.000 0.854 0.750
0.000 0.500 0.000
0.000 0.500 0.500
0.265 0.190 0.751
0.265 0.810 0.251
0.735 0.190 0.749
0.735 0.810 0.249
0.500 0.377 0.250
0.500 0.623 0.750
```

Top 10 peaks for 10 to 80 degrees two-theta, sorted by position:
two_theta, d [Å], I/Imax
28.75, 3.105, 19
29.23, 3.056, 29
29.50, 3.028, 57
32.34, 2.768, 100
32.93, 2.720, 17
34.06, 2.633, 41
35.62, 2.521, 21
36.75, 2.446, 21
53.82, 1.703, 24
54.72, 1.678, 24

---

9.
Structure and theoretical powder XRD pattern of Tb5CeNdTm2 (a DFT-relaxed cell (GGA-PBE, Alexandria); a wavelength of 1.5418 Å).

Structure:
```
Tb5CeNdTm2
1.0
2.849 -10.732 0.000
2.849 10.732 0.000
0.000 0.000 9.602
Tb Ce Nd Tm
10 2 2 4
direct
0.013 0.987 0.500
0.267 0.733 0.817
0.305 0.695 0.199
0.393 0.607 0.525
0.471 0.529 0.231
0.529 0.471 0.731
0.607 0.393 0.025
0.695 0.305 0.699
0.733 0.267 0.317
0.987 0.013 0.000
0.194 0.806 0.509
0.806 0.194 0.009
0.403 0.597 0.908
0.597 0.403 0.408
0.113 0.887 0.808
0.136 0.864 0.191
0.864 0.136 0.691
0.887 0.113 0.308
```

Top 10 peaks for 10 to 80 degrees two-theta, sorted by position:
two_theta, d [Å], I/Imax
26.59, 3.352, 26
27.30, 3.267, 13
31.39, 2.849, 61
32.08, 2.790, 100
32.35, 2.767, 67
34.50, 2.599, 42
41.60, 2.171, 16
56.32, 1.633, 25
56.50, 1.629, 14
64.00, 1.455, 15

---

10.
Structure and theoretical powder XRD pattern of CeNdTc (a DFT-relaxed cell (GGA-PBE, Alexandria); a wavelength of 1.5418 Å).

Structure:
```
CeNdTc
1.0
6.701 0.000 0.000
0.000 6.630 0.000
-1.401 0.000 7.267
Ce Nd Tc
4 4 4
direct
0.176 0.175 0.487
0.176 0.325 0.987
0.824 0.675 0.013
0.824 0.825 0.513
0.351 0.665 0.652
0.351 0.835 0.152
0.649 0.165 0.848
0.649 0.335 0.348
0.035 0.560 0.282
0.035 0.940 0.782
0.965 0.060 0.218
0.965 0.440 0.718
```

Top 10 peaks for 10 to 80 degrees two-theta, sorted by position:
two_theta, d [Å], I/Imax
13.46, 6.580, 27
28.00, 3.186, 24
30.33, 2.947, 53
31.65, 2.827, 100
33.09, 2.707, 52
33.21, 2.697, 51
37.52, 2.397, 19
39.61, 2.275, 22
45.80, 1.981, 23
51.47, 1.776, 21

---

11.
Structure and theoretical powder XRD pattern of CeNd2Te5 (a DFT-relaxed cell (GGA-PBE, Alexandria); a wavelength of 1.5418 Å).

Structure:
```
CeNd2Te5
1.0
7.602 0.000 0.000
0.000 7.602 0.000
0.000 0.000 5.397
Ce Nd Te
1 2 5
direct
0.000 0.000 0.000
0.000 0.500 0.500
0.500 0.000 0.500
0.000 0.000 0.500
0.279 0.279 0.000
0.279 0.721 0.000
0.721 0.279 0.000
0.721 0.721 0.000
```

Top 10 peaks for 10 to 80 degrees two-theta, sorted by position:
two_theta, d [Å], I/Imax
11.64, 7.602, 23
23.36, 3.809, 33
26.21, 3.400, 28
28.73, 3.108, 100
33.20, 2.699, 34
33.33, 2.688, 60
47.76, 1.904, 44
47.86, 1.901, 19
56.78, 1.621, 21
59.49, 1.554, 20

---

12.
Structure and theoretical powder XRD pattern of CeNd4Te5 (a DFT-relaxed cell (GGA-PBE, Alexandria); a wavelength of 1.5418 Å).

Structure:
```
CeNd4Te5
1.0
-2.247 2.247 15.931
2.247 -2.247 15.931
2.247 2.247 -15.931
Ce Nd Te
1 4 5
direct
0.000 0.000 0.000
0.197 0.197 0.000
0.399 0.399 0.000
0.601 0.601 0.000
0.803 0.803 0.000
0.099 0.099 0.000
0.298 0.298 0.000
0.500 0.500 0.000
0.702 0.702 0.000
0.901 0.901 0.000
```

Top 10 peaks for 10 to 80 degrees two-theta, sorted by position:
two_theta, d [Å], I/Imax
24.24, 3.672, 1
28.06, 3.180, 100
40.10, 2.249, 76
49.65, 1.836, 27
57.88, 1.593, 4
58.06, 1.589, 9
65.55, 1.424, 11
65.70, 1.421, 23
72.78, 1.299, 8
72.89, 1.298, 17